Entry 1:
The following is a calculated powder diffraction line list of K4TcGeSe6. It was derived from a structure optimized by DFT (GGA-PBE), using CuKα.
Neutral-atom scattering factors, no anomalous dispersion.

Crystal structure
```
data_K4TcGeSe6
_cell_length_a 6.8443
_cell_length_b 7.4383
_cell_length_c 9.0192
_cell_angle_alpha 73.37
_cell_angle_beta 72.90
_cell_angle_gamma 67.16
_symmetry_space_group_name_H-M 'P 1'
_symmetry_Int_Tables_number 1
_symmetry_space_group_name_Hall 'P 1'
loop_
_atom_site_label
_atom_site_fract_x
_atom_site_fract_y
_atom_site_fract_z
K1 0.0000 0.0000 0.0000
K2 0.2256 0.3922 0.2249
K3 0.4748 0.7128 0.4237
K4 0.7709 0.6532 0.7862
Tc1 0.4717 0.2506 0.7999
Ge1 0.7625 0.1289 0.4190
Se1 0.2792 0.5804 0.8283
Se2 0.3956 0.1598 0.5948
Se3 0.4838 0.0032 0.0280
Se4 0.7515 0.3788 0.1876
Se5 0.8253 0.2237 0.6450
Se6 0.9584 0.7960 0.3875
```

Main lines, low angle first (10 to 80 degrees two-theta):
- (0 1 0), 6.723 Å, 2θ = 13.2°, rel. 64.6
- (1 0 1), 5.561 Å, 2θ = 15.9°, rel. 100.0
- (2 1 1), 3.402 Å, 2θ = 26.2°, rel. 70.7
- (0 2 1), 3.358 Å, 2θ = 26.5°, rel. 96.8
- (0 1 -2), 3.300 Å, 2θ = 27.0°, rel. 84.7
- (2 1 0), 3.241 Å, 2θ = 27.5°, rel. 54.2

***

Entry 2:
The following is a calculated powder diffraction line list of K4Zn2SnGe. It was derived from a structure optimized by DFT (GGA-PBE), using CuKα.
Neutral-atom scattering factors, no anomalous dispersion.

Crystal structure
```
data_K4Zn2SnGe
_cell_length_a 6.2740
_cell_length_b 10.7148
_cell_length_c 8.0632
_cell_angle_alpha 90.00
_cell_angle_beta 90.00
_cell_angle_gamma 90.00
_symmetry_space_group_name_H-M 'A m m 2'
_symmetry_Int_Tables_number 38
_symmetry_space_group_name_Hall 'A 2 -2'
loop_
_atom_site_label
_atom_site_fract_x
_atom_site_fract_y
_atom_site_fract_z
K1 0.0000 0.1689 0.0000
K2 0.5000 0.1728 0.2899
Zn1 0.2613 0.0000 0.6545
Sn1 0.0000 0.0000 0.3990
Ge1 0.5000 0.0000 0.8937
```

Main lines, low angle first (10 to 80 degrees two-theta):
- (0 2 0), 5.357 Å, 2θ = 16.5°, rel. 64.0
- (1 1 1), 4.495 Å, 2θ = 19.8°, rel. 49.4
- (0 3 1), 3.266 Å, 2θ = 27.3°, rel. 40.7
- (1 3 1), 2.897 Å, 2θ = 30.9°, rel. 100.0
- (2 0 2), 2.476 Å, 2θ = 36.3°, rel. 43.4
- (2 2 2), 2.247 Å, 2θ = 40.1°, rel. 46.1

***

Entry 3:
The following is a calculated powder diffraction line list of KZr3Ge5. It was derived from a structure optimized by DFT (GGA-PBE), using CuKα.
Neutral-atom scattering factors, no anomalous dispersion.

Crystal structure
```
data_KZr3Ge5
_cell_length_a 5.9649
_cell_length_b 5.9649
_cell_length_c 6.8966
_cell_angle_alpha 90.00
_cell_angle_beta 90.00
_cell_angle_gamma 120.00
_symmetry_space_group_name_H-M 'P 6/m m m'
_symmetry_Int_Tables_number 191
_symmetry_space_group_name_Hall '-P 6 2'
loop_
_atom_site_label
_atom_site_fract_x
_atom_site_fract_y
_atom_site_fract_z
K1 0.0000 0.0000 0.0000
Zr1 0.0000 0.5000 0.5000
Ge1 0.0000 0.0000 0.5000
Ge2 0.3333 0.6667 0.1760
```

Main lines, low angle first (10 to 80 degrees two-theta):
- (0 0 1), 6.897 Å, 2θ = 12.8°, rel. 50.0
- (1 0 0), 5.166 Å, 2θ = 17.2°, rel. 38.8
- (1 1 0), 2.982 Å, 2θ = 30.0°, rel. 64.8
- (2 0 1), 2.419 Å, 2θ = 37.2°, rel. 99.9
- (0 0 3), 2.299 Å, 2θ = 39.2°, rel. 36.8
- (2 0 2), 2.067 Å, 2θ = 43.8°, rel. 100.0

***

Entry 4:
The following is a calculated powder diffraction line list of LaNd2Si2Ge2Pd4. It was derived from a structure optimized by DFT (GGA-PBE), using CuKα.
Neutral-atom scattering factors, no anomalous dispersion.

Crystal structure
```
data_LaNd2Si2Ge2Pd4
_cell_length_a 4.1744
_cell_length_b 4.3688
_cell_length_c 24.8115
_cell_angle_alpha 90.00
_cell_angle_beta 90.00
_cell_angle_gamma 90.00
_symmetry_space_group_name_H-M 'I m m m'
_symmetry_Int_Tables_number 71
_symmetry_space_group_name_Hall '-I 2 2'
loop_
_atom_site_label
_atom_site_fract_x
_atom_site_fract_y
_atom_site_fract_z
La1 0.0000 0.0000 0.0000
Nd1 0.0000 0.5000 0.1490
Si1 0.0000 0.5000 0.3019
Ge1 0.0000 0.0000 0.4490
Pd1 0.0000 0.0000 0.2494
Pd2 0.0000 0.5000 0.3989
```

Main lines, low angle first (10 to 80 degrees two-theta):
- (1 1 4), 2.714 Å, 2θ = 33.0°, rel. 100.0
- (1 0 7), 2.702 Å, 2θ = 33.2°, rel. 28.2
- (0 1 9), 2.331 Å, 2θ = 38.6°, rel. 20.9
- (0 2 0), 2.184 Å, 2θ = 41.3°, rel. 23.9
- (2 0 0), 2.087 Å, 2θ = 43.4°, rel. 20.8
- (2 2 0), 1.509 Å, 2θ = 61.4°, rel. 14.6

***

Entry 5:
The following is a calculated powder diffraction line list of La2NdSi2Ge2Pd4. It was derived from a structure optimized by DFT (GGA-PBE), using CuKα.
Neutral-atom scattering factors, no anomalous dispersion.

Crystal structure
```
data_La2NdSi2Ge2Pd4
_cell_length_a 4.2214
_cell_length_b 4.3227
_cell_length_c 25.2418
_cell_angle_alpha 90.00
_cell_angle_beta 90.00
_cell_angle_gamma 90.00
_symmetry_space_group_name_H-M 'I m m m'
_symmetry_Int_Tables_number 71
_symmetry_space_group_name_Hall '-I 2 2'
loop_
_atom_site_label
_atom_site_fract_x
_atom_site_fract_y
_atom_site_fract_z
La1 0.0000 0.0000 0.1456
Nd1 0.0000 0.5000 0.0000
Si1 0.0000 0.5000 0.4527
Ge1 0.0000 0.0000 0.3055
Pd1 0.0000 0.0000 0.4068
Pd2 0.0000 0.5000 0.2496
```

Main lines, low angle first (10 to 80 degrees two-theta):
- (1 0 7), 2.742 Å, 2θ = 32.7°, rel. 40.2
- (1 1 4), 2.724 Å, 2θ = 32.9°, rel. 100.0
- (0 2 0), 2.161 Å, 2θ = 41.8°, rel. 25.9
- (2 0 0), 2.111 Å, 2θ = 42.8°, rel. 24.1
- (0 1 11), 2.027 Å, 2θ = 44.7°, rel. 20.0
- (1 2 7), 1.697 Å, 2θ = 54.0°, rel. 19.0

***

Entry 6:
The following is a calculated powder diffraction line list of La3NdZn12Ge6. It was derived from a structure optimized by DFT (GGA-PBE), using CuKα.
Neutral-atom scattering factors, no anomalous dispersion.

Crystal structure
```
data_La3NdZn12Ge6
_cell_length_a 7.7134
_cell_length_b 4.1420
_cell_length_c 13.3619
_cell_angle_alpha 90.00
_cell_angle_beta 90.00
_cell_angle_gamma 90.00
_symmetry_space_group_name_H-M 'P 1 m 1'
_symmetry_Int_Tables_number 6
_symmetry_space_group_name_Hall 'P -2y'
loop_
_atom_site_label
_atom_site_fract_x
_atom_site_fract_y
_atom_site_fract_z
La1 0.0000 0.0000 0.0000
La2 0.0002 0.0000 0.3338
La3 0.4997 0.0000 0.8328
Nd1 0.4999 0.0000 0.4999
Zn1 0.0938 0.0000 0.7607
Zn2 0.0961 0.0000 0.5727
Zn3 0.2901 0.5000 0.6660
Zn4 0.3115 0.0000 0.1665
Zn5 0.3553 0.5000 0.0220
Zn6 0.3557 0.5000 0.3120
Zn7 0.5931 0.0000 0.2616
Zn8 0.5938 0.0000 0.0726
Zn9 0.7889 0.5000 0.1669
Zn10 0.8112 0.0000 0.6657
Zn11 0.8544 0.5000 0.5220
Zn12 0.8551 0.5000 0.8109
Ge1 0.1208 0.5000 0.1667
Ge2 0.1894 0.5000 0.8560
Ge3 0.1911 0.5000 0.4769
Ge4 0.6198 0.5000 0.6658
Ge5 0.6891 0.5000 0.3572
Ge6 0.6894 0.5000 0.9770
```

Main lines, low angle first (10 to 80 degrees two-theta):
- (2 1 0), 2.823 Å, 2θ = 31.7°, rel. 100.0
- (3 0 1), 2.525 Å, 2θ = 35.6°, rel. 21.3
- (3 0 3), 2.227 Å, 2θ = 40.5°, rel. 33.2
- (3 1 1), 2.156 Å, 2θ = 41.9°, rel. 52.7
- (0 2 0), 2.071 Å, 2θ = 43.7°, rel. 24.8
- (4 1 6), 1.375 Å, 2θ = 68.2°, rel. 21.1

***

Entry 7:
The following is a calculated powder diffraction line list of LaNiGe. It was derived from a structure optimized by DFT (GGA-PBE), using CuKα.
Neutral-atom scattering factors, no anomalous dispersion.

Crystal structure
```
data_LaNiGe
_cell_length_a 4.1683
_cell_length_b 4.1683
_cell_length_c 4.2903
_cell_angle_alpha 90.00
_cell_angle_beta 90.00
_cell_angle_gamma 120.00
_symmetry_space_group_name_H-M 'P -6 m 2'
_symmetry_Int_Tables_number 187
_symmetry_space_group_name_Hall 'P -6 2'
loop_
_atom_site_label
_atom_site_fract_x
_atom_site_fract_y
_atom_site_fract_z
La1 0.0000 0.0000 0.0000
Ni1 0.3333 0.6667 0.5000
Ge1 0.6667 0.3333 0.5000
```

Main lines, low angle first (10 to 80 degrees two-theta):
- (1 0 1), 2.762 Å, 2θ = 32.4°, rel. 100.0
- (0 0 2), 2.145 Å, 2θ = 42.1°, rel. 14.4
- (1 1 0), 2.084 Å, 2θ = 43.4°, rel. 39.6
- (2 0 1), 1.664 Å, 2θ = 55.2°, rel. 21.6
- (1 1 2), 1.495 Å, 2θ = 62.1°, rel. 26.6
- (2 1 1), 1.300 Å, 2θ = 72.7°, rel. 18.6

***

Entry 8:
The following is a calculated powder diffraction line list of La11Ni4Ge6. It was derived from a structure optimized by DFT (GGA-PBE), using CuKα.
Neutral-atom scattering factors, no anomalous dispersion.

Crystal structure
```
data_La11Ni4Ge6
_cell_length_a 18.5605
_cell_length_b 4.3808
_cell_length_c 14.1475
_cell_angle_alpha 90.00
_cell_angle_beta 106.07
_cell_angle_gamma 90.00
_symmetry_space_group_name_H-M 'C 1 2/m 1'
_symmetry_Int_Tables_number 12
_symmetry_space_group_name_Hall '-C 2y'
loop_
_atom_site_label
_atom_site_fract_x
_atom_site_fract_y
_atom_site_fract_z
La1 0.0000 0.0000 0.0000
La2 0.0475 0.5000 0.6243
La3 0.0954 0.0000 0.2842
La4 0.1436 0.0000 0.8511
La5 0.1617 0.5000 0.0931
La6 0.2148 0.0000 0.5994
Ni1 0.0597 0.0000 0.4754
Ni2 0.2477 0.0000 0.0503
Ge1 0.0138 0.5000 0.8485
Ge2 0.1284 0.5000 0.4509
Ge3 0.2387 0.5000 0.7659
```

Main lines, low angle first (10 to 80 degrees two-theta):
- (3 1 2), 2.939 Å, 2θ = 30.4°, rel. 100.0
- (5 1 -2), 2.779 Å, 2θ = 32.2°, rel. 56.1
- (6 0 1), 2.747 Å, 2θ = 32.6°, rel. 93.3
- (4 0 -5), 2.675 Å, 2θ = 33.5°, rel. 57.2
- (5 1 1), 2.604 Å, 2θ = 34.4°, rel. 54.3
- (0 2 0), 2.190 Å, 2θ = 41.2°, rel. 91.3

***

Entry 9:
The following is a calculated powder diffraction line list of La2NiGe2Pd. It was derived from a structure optimized by DFT (GGA-PBE), using CuKα.
Neutral-atom scattering factors, no anomalous dispersion.

Crystal structure
```
data_La2NiGe2Pd
_cell_length_a 4.2856
_cell_length_b 4.2856
_cell_length_c 8.4541
_cell_angle_alpha 90.00
_cell_angle_beta 90.00
_cell_angle_gamma 120.00
_symmetry_space_group_name_H-M 'P -6 m 2'
_symmetry_Int_Tables_number 187
_symmetry_space_group_name_Hall 'P -6 2'
loop_
_atom_site_label
_atom_site_fract_x
_atom_site_fract_y
_atom_site_fract_z
La1 0.0000 0.0000 0.2437
Ni1 0.6667 0.3333 0.0000
Ge1 0.3333 0.6667 0.0000
Ge2 0.6667 0.3333 0.5000
Pd1 0.3333 0.6667 0.5000
```

Main lines, low angle first (10 to 80 degrees two-theta):
- (1 0 2), 2.789 Å, 2θ = 32.1°, rel. 100.0
- (1 1 0), 2.143 Å, 2θ = 42.2°, rel. 44.0
- (0 0 4), 2.114 Å, 2θ = 42.8°, rel. 13.9
- (2 0 2), 1.699 Å, 2θ = 54.0°, rel. 22.6
- (1 1 4), 1.505 Å, 2θ = 61.6°, rel. 27.7
- (2 1 2), 1.331 Å, 2θ = 70.8°, rel. 19.8

***

Entry 10:
The following is a calculated powder diffraction line list of LaPrNi2Ge2. It was derived from a structure optimized by DFT (GGA-PBE), using CuKα.
Neutral-atom scattering factors, no anomalous dispersion.

Crystal structure
```
data_LaPrNi2Ge2
_cell_length_a 4.2688
_cell_length_b 4.2688
_cell_length_c 6.8077
_cell_angle_alpha 90.00
_cell_angle_beta 90.00
_cell_angle_gamma 90.00
_symmetry_space_group_name_H-M 'P 4 m m'
_symmetry_Int_Tables_number 99
_symmetry_space_group_name_Hall 'P 4 -2'
loop_
_atom_site_label
_atom_site_fract_x
_atom_site_fract_y
_atom_site_fract_z
La1 0.0000 0.0000 0.0000
Pr1 0.5000 0.5000 0.3850
Ni1 0.0000 0.5000 0.6901
Ge1 0.0000 0.0000 0.5016
Ge2 0.5000 0.5000 0.8718
```

Main lines, low angle first (10 to 80 degrees two-theta):
- (1 1 0), 3.018 Å, 2θ = 29.6°, rel. 51.0
- (1 0 2), 2.661 Å, 2θ = 33.7°, rel. 70.4
- (1 1 2), 2.258 Å, 2θ = 39.9°, rel. 100.0
- (2 0 0), 2.134 Å, 2θ = 42.3°, rel. 67.5
- (2 1 2), 1.665 Å, 2θ = 55.2°, rel. 34.0
- (1 0 4), 1.581 Å, 2θ = 58.4°, rel. 30.1

***

Entry 11:
The following is a calculated powder diffraction line list of La2Ge4OsPd. It was derived from a structure optimized by DFT (GGA-PBE), using CuKα.
Neutral-atom scattering factors, no anomalous dispersion.

Crystal structure
```
data_La2Ge4OsPd
_cell_length_a 4.3992
_cell_length_b 4.4427
_cell_length_c 9.0090
_cell_angle_alpha 90.00
_cell_angle_beta 104.08
_cell_angle_gamma 90.00
_symmetry_space_group_name_H-M 'P 1 m 1'
_symmetry_Int_Tables_number 6
_symmetry_space_group_name_Hall 'P -2y'
loop_
_atom_site_label
_atom_site_fract_x
_atom_site_fract_y
_atom_site_fract_z
La1 0.0000 0.0000 0.0000
La2 0.2204 0.5000 0.4348
Ge1 0.3617 0.0000 0.7226
Ge2 0.5636 0.5000 0.1341
Ge3 0.6508 0.0000 0.2889
Ge4 0.8618 0.5000 0.7182
Os1 0.4315 0.5000 0.8580
Pd1 0.7864 0.0000 0.5716
```

Main lines, low angle first (10 to 80 degrees two-theta):
- (0 0 1), 8.739 Å, 2θ = 10.1°, rel. 50.4
- (1 1 0), 3.077 Å, 2θ = 29.0°, rel. 75.0
- (1 1 1), 2.754 Å, 2θ = 32.5°, rel. 100.0
- (1 0 -3), 2.737 Å, 2θ = 32.7°, rel. 79.5
- (0 2 0), 2.221 Å, 2θ = 40.6°, rel. 54.4
- (2 0 -1), 2.200 Å, 2θ = 41.0°, rel. 52.8